# 1
Starting from the PBE geometry in Alexandria, the powder X-ray diffraction pattern of Ce2Pa2O7 was calculated for Cu Kα X-rays.

The 10 most intense peaks (2θ = 5–70°), sorted by position:
Position (°2θ)	I/Imax	(hkl)
13.91	60	1 1 1
26.82	63	3 1 1
28.03	1000	2 2 2
32.48	364	4 0 0
42.61	21	3 3 3
46.59	491	4 4 0
55.26	465	6 2 2
57.94	106	4 4 4
64.96	19	7 3 1
68.02	76	8 0 0

Crystal structure
Cell lengths 11.026, 11.026, 11.026 Å; angles 90.00, 90.00, 90.00 degrees
Space group Fd-3m (No. 227, origin choice 2)
Inequivalent atoms, fractional coordinates:
Ce  0.000  0.000  0.000
Pa  0.000  0.000  0.500
O  0.105  0.375  0.875
O  0.125  0.125  0.125

=====

# 2
Starting from the PBE geometry in Alexandria, the powder X-ray diffraction pattern of CePaO5 was calculated for Cu Kα X-rays.

The 10 most intense peaks (2θ = 5–70°), sorted by position:
Position (°2θ)	I/Imax	(hkl)
20.65	881	0 0 2
25.17	1000	1 1 0
25.62	554	0 2 0
32.78	685	1 1 2
33.13	394	0 2 2
44.90	268	1 3 0
49.61	315	1 1 4
49.89	466	0 2 4
56.22	187	2 2 2
63.17	186	1 3 4

Crystal structure
```
data_CePaO5
_chemical_formula_sum 'Ce2 Pa2 O10'
_cell_length_a 4.111
_cell_length_b 6.953
_cell_length_c 8.601
_cell_angle_alpha 90.00
_cell_angle_beta 90.00
_cell_angle_gamma 90.00
_space_group_name_H-M_alt 'I m m m'
_space_group_IT_number 71
_space_group_name_Hall '-I 2 2'
loop_
_atom_site_label
_atom_site_fract_x
_atom_site_fract_y
_atom_site_fract_z
_atom_site_occupancy
Ce1 0.000 0.000 0.000 1
Pa1 0.000 0.000 0.500 1
O1 0.000 0.000 0.274 1
O2 0.000 0.319 0.000 1
O3 0.000 0.500 0.500 1
```

=====

# 3
Starting from the PBE geometry in Alexandria, the powder X-ray diffraction pattern of CePa2O6 was calculated for Cu Kα X-rays.

The 10 most intense peaks (2θ = 5–70°), sorted by position:
Position (°2θ)	I/Imax	(hkl)
28.10	1000	1 0 1
28.30	318	0 0 3
32.61	467	0 1 2
46.66	332	1 1 0
46.92	329	1 0 4
55.36	156	0 2 1
55.47	302	1 1 3
55.70	154	0 1 5
58.09	102	2 0 2
68.33	104	0 2 4

Crystal structure
```
data_CePa2O6
_chemical_formula_sum 'Ce1 Pa2 O6'
_cell_length_a 3.8932
_cell_length_b 3.8932
_cell_length_c 9.4610
_cell_angle_alpha 90.00
_cell_angle_beta 90.00
_cell_angle_gamma 120.00
_space_group_name_H-M_alt 'P -3 m 1'
_space_group_IT_number 164
_space_group_name_Hall '-P 3 2"'
loop_
_atom_site_label
_atom_site_fract_x
_atom_site_fract_y
_atom_site_fract_z
_atom_site_occupancy
Ce1 0.0000 0.0000 0.0000 1
Pa1 0.3333 0.6667 0.6679 1
O1 0.0000 0.0000 0.2646 1
O2 0.3333 0.6667 0.4188 1
O3 0.3333 0.6667 0.9025 1
```

=====

# 4
Starting from the PBE geometry in Alexandria, the powder X-ray diffraction pattern of Ce3Pa2O9 was calculated for Cu Kα X-rays.

The 10 most intense peaks (2θ = 5–70°), sorted by position:
Position (°2θ)	I/Imax	(hkl)
6.42	76	0 0 2
24.80	55	1 0 3
25.88	32	0 0 8
28.03	1000	1 0 5
32.48	348	1 1 0
46.59	495	2 0 0
48.93	26	1 0 13
55.26	449	2 1 5
57.94	97	2 0 10
67.97	53	2 2 0

Crystal structure
```
data_Ce3Pa2O9
_chemical_formula_sum 'Ce6 Pa4 O18'
_cell_length_a 3.901
_cell_length_b 3.901
_cell_length_c 27.536
_cell_angle_alpha 90.00
_cell_angle_beta 90.00
_cell_angle_gamma 90.00
_space_group_name_H-M_alt 'I -4 m 2'
_space_group_IT_number 119
_space_group_name_Hall 'I -4 -2'
loop_
_atom_site_label
_atom_site_fract_x
_atom_site_fract_y
_atom_site_fract_z
_atom_site_occupancy
Ce1 0.000 0.000 0.000 1
Ce2 0.000 0.000 0.404 1
Pa1 0.000 0.000 0.197 1
O1 0.000 0.500 0.050 1
O2 0.000 0.500 0.154 1
O3 0.000 0.500 0.250 1
O4 0.000 0.500 0.553 1
O5 0.000 0.500 0.661 1
```

=====

# 5
Starting from the PBE geometry in Alexandria, the powder X-ray diffraction pattern of Ce2PaO7 was calculated for Cu Kα X-rays.

The 10 most intense peaks (2θ = 5–70°), sorted by position:
Position (°2θ)	I/Imax	(hkl)
8.22	599	0 0 3
24.85	494	0 0 9
27.02	1000	0 1 2
28.70	203	1 0 4
29.91	622	0 1 5
32.92	525	1 0 7
46.67	509	1 1 0
47.82	437	0 1 14
52.92	208	1 0 16
53.58	368	1 1 9

Crystal structure
```
data_Ce2PaO7
_chemical_formula_sum 'Ce6 Pa3 O21'
_cell_length_a 3.8926
_cell_length_b 3.8926
_cell_length_c 32.2518
_cell_angle_alpha 90.00
_cell_angle_beta 90.00
_cell_angle_gamma 120.00
_space_group_name_H-M_alt 'R -3 m'
_space_group_IT_number 166
_space_group_name_Hall '-R 3 2"'
loop_
_atom_site_label
_atom_site_fract_x
_atom_site_fract_y
_atom_site_fract_z
_atom_site_occupancy
Ce1 0.0000 0.0000 0.0673 1
Pa1 0.0000 0.0000 0.5000 1
O1 0.0000 0.0000 0.0000 1
O2 0.0000 0.0000 0.1464 1
O3 0.0000 0.0000 0.2810 1
O4 0.0000 0.0000 0.4326 1
```

=====

# 6
Starting from the PBE geometry in Alexandria, the powder X-ray diffraction pattern of CePa4O10 was calculated for Cu Kα X-rays.

The 10 most intense peaks (2θ = 5–70°), sorted by position:
Position (°2θ)	I/Imax	(hkl)
5.59	55	0 0 3
28.18	1000	0 1 5
32.65	361	1 0 10
46.80	252	1 1 0
46.90	249	0 1 20
55.54	352	2 0 5
55.66	117	1 0 25
58.23	78	0 2 10
58.41	26	0 0 30
68.42	79	2 0 20

Crystal structure
```
data_CePa4O10
_chemical_formula_sum 'Ce3 Pa12 O30'
_cell_length_a 3.8825
_cell_length_b 3.8825
_cell_length_c 47.3971
_cell_angle_alpha 90.00
_cell_angle_beta 90.00
_cell_angle_gamma 120.00
_space_group_name_H-M_alt 'R -3 m'
_space_group_IT_number 166
_space_group_name_Hall '-R 3 2"'
loop_
_atom_site_label
_atom_site_fract_x
_atom_site_fract_y
_atom_site_fract_z
_atom_site_occupancy
Ce1 0.0000 0.0000 0.0000 1
Pa1 0.0000 0.0000 0.1999 1
Pa2 0.0000 0.0000 0.3998 1
O1 0.0000 0.0000 0.0529 1
O2 0.0000 0.0000 0.1500 1
O3 0.0000 0.0000 0.2490 1
O4 0.0000 0.0000 0.3529 1
O5 0.0000 0.0000 0.4505 1
```

=====

# 7
Starting from the PBE geometry in Alexandria, the powder X-ray diffraction pattern of Ce6PaO12 was calculated for Cu Kα X-rays.

The 10 most intense peaks (2θ = 5–70°), sorted by position:
Position (°2θ)	I/Imax	(hkl)
27.52	325	0 0 3
27.89	1000	2 1 1
32.21	442	3 -2 2
45.95	310	2 1 4
46.43	309	1 4 0
54.40	133	3 -2 5
54.82	268	1 4 3
55.03	149	6 -4 1
57.63	108	4 2 2
67.39	83	6 -4 4

Crystal structure
```
data_Ce6PaO12
_chemical_formula_sum 'Ce18 Pa3 O36'
_cell_length_a 10.3495
_cell_length_b 10.3495
_cell_length_c 9.7225
_cell_angle_alpha 90.00
_cell_angle_beta 90.00
_cell_angle_gamma 120.00
_space_group_name_H-M_alt 'R -3'
_space_group_IT_number 148
_space_group_name_Hall '-R 3'
loop_
_atom_site_label
_atom_site_fract_x
_atom_site_fract_y
_atom_site_fract_z
_atom_site_occupancy
Ce1 0.0447 0.2526 0.1509 1
Pa1 0.0000 0.0000 0.5000 1
O1 0.0346 0.2224 0.8996 1
O2 0.0371 0.2041 0.3930 1
```

=====

# 8
Starting from the PBE geometry in Alexandria, the powder X-ray diffraction pattern of Rb2CePaO6 was calculated for Cu Kα X-rays.

The 10 most intense peaks (2θ = 5–70°), sorted by position:
Position (°2θ)	I/Imax	(hkl)
17.33	64	1 1 1
20.04	235	2 0 0
28.49	1000	2 2 0
33.54	37	3 1 1
40.73	303	4 0 0
45.79	111	4 2 0
50.45	423	4 2 2
58.96	195	4 4 0
62.93	53	6 0 0
66.76	187	6 2 0

Crystal structure
```
data_Rb2CePaO6
_chemical_formula_sum 'Rb8 Ce4 Pa4 O24'
_cell_length_a 8.862
_cell_length_b 8.862
_cell_length_c 8.862
_cell_angle_alpha 90.00
_cell_angle_beta 90.00
_cell_angle_gamma 90.00
_space_group_name_H-M_alt 'F m -3 m'
_space_group_IT_number 225
_space_group_name_Hall '-F 4 2 3'
loop_
_atom_site_label
_atom_site_fract_x
_atom_site_fract_y
_atom_site_fract_z
_atom_site_occupancy
Rb1 0.250 0.250 0.250 1
Ce1 0.000 0.000 0.000 1
Pa1 0.000 0.000 0.500 1
O1 0.000 0.000 0.255 1
```

=====

# 9
Starting from the PBE geometry in Alexandria, the powder X-ray diffraction pattern of CeSmPaO6 was calculated for Cu Kα X-rays.

The 10 most intense peaks (2θ = 5–70°), sorted by position:
Position (°2θ)	I/Imax	(hkl)
25.78	1000	1 0 1
30.41	517	1 1 0
38.24	76	0 0 2
40.28	313	2 0 1
49.63	390	2 -1 2
51.30	314	2 1 1
54.04	173	3 0 0
61.88	90	1 0 3
68.13	97	3 0 2
69.51	128	4 -1 1

Crystal structure
```
data_CeSmPaO6
_chemical_formula_sum 'Ce1 Sm1 Pa1 O6'
_cell_length_a 5.8781
_cell_length_b 5.8781
_cell_length_c 4.7068
_cell_angle_alpha 90.00
_cell_angle_beta 90.00
_cell_angle_gamma 120.00
_space_group_name_H-M_alt 'P 3 1 2'
_space_group_IT_number 149
_space_group_name_Hall 'P 3 2'
loop_
_atom_site_label
_atom_site_fract_x
_atom_site_fract_y
_atom_site_fract_z
_atom_site_occupancy
Ce1 0.0000 0.0000 0.0000 1
Sm1 0.6667 0.3333 0.0000 1
Pa1 0.3333 0.6667 0.5000 1
O1 0.0204 0.3445 0.2452 1
```

=====

# 10
Starting from the PBE geometry in Alexandria, the powder X-ray diffraction pattern of CePaTlO6 was calculated for Cu Kα X-rays.

The 10 most intense peaks (2θ = 5–70°), sorted by position:
Position (°2θ)	I/Imax	(hkl)
13.07	225	0 1 1
14.95	367	0 0 2
25.38	1000	1 2 1
25.72	183	2 1 1
26.75	720	2 0 2
33.31	351	1 2 3
40.79	238	3 2 1
43.85	199	0 4 0
46.42	190	3 2 3
52.13	299	2 4 2

Crystal structure
```
data_CePaTlO6
_chemical_formula_sum 'Ce4 Pa4 Tl4 O24'
_cell_length_a 8.061
_cell_length_b 8.254
_cell_length_c 11.849
_cell_angle_alpha 90.00
_cell_angle_beta 90.00
_cell_angle_gamma 90.00
_space_group_name_H-M_alt 'I m m a'
_space_group_IT_number 74
_space_group_name_Hall '-I 2b 2'
loop_
_atom_site_label
_atom_site_fract_x
_atom_site_fract_y
_atom_site_fract_z
_atom_site_occupancy
Ce1 0.250 0.250 0.250 1
Pa1 0.000 0.000 0.000 1
Tl1 0.000 0.250 0.532 1
O1 0.000 0.250 0.323 1
O2 0.000 0.250 0.942 1
O3 0.187 0.069 0.114 1
```

=====

Repeat the tenth record exactly.
Starting from the PBE geometry in Alexandria, the powder X-ray diffraction pattern of CePaTlO6 was calculated for Cu Kα X-rays.

The 10 most intense peaks (2θ = 5–70°), sorted by position:
Position (°2θ)	I/Imax	(hkl)
13.07	225	0 1 1
14.95	367	0 0 2
25.38	1000	1 2 1
25.72	183	2 1 1
26.75	720	2 0 2
33.31	351	1 2 3
40.79	238	3 2 1
43.85	199	0 4 0
46.42	190	3 2 3
52.13	299	2 4 2

Crystal structure
```
data_CePaTlO6
_chemical_formula_sum 'Ce4 Pa4 Tl4 O24'
_cell_length_a 8.061
_cell_length_b 8.254
_cell_length_c 11.849
_cell_angle_alpha 90.00
_cell_angle_beta 90.00
_cell_angle_gamma 90.00
_space_group_name_H-M_alt 'I m m a'
_space_group_IT_number 74
_space_group_name_Hall '-I 2b 2'
loop_
_atom_site_label
_atom_site_fract_x
_atom_site_fract_y
_atom_site_fract_z
_atom_site_occupancy
Ce1 0.250 0.250 0.250 1
Pa1 0.000 0.000 0.000 1
Tl1 0.000 0.250 0.532 1
O1 0.000 0.250 0.323 1
O2 0.000 0.250 0.942 1
O3 0.187 0.069 0.114 1
```

=====

> Which formula does entry 1 have?

Ce2Pa2O7